Starting from a GGA-PBE-relaxed structure, the X-ray diffraction stick pattern of Er5ThSc3 was simulated for CuKα.

Atomic structure:
Unit cell a=9.1425 b=9.1425 c=9.5456 alpha=121.05 beta=121.05 gamma=74.49
Atoms (fractional coordinates):
Er  0.1103  0.6154  0.2598
Er  0.2228  0.2228  0.2277
Er  0.2432  0.7568  0.0000
Er  0.2787  0.2787  0.9597
Er  0.3846  0.8897  0.7402
Er  0.6154  0.1103  0.2598
Er  0.7213  0.7213  0.0403
Er  0.7568  0.2432  0.0000
Er  0.7772  0.7772  0.7723
Er  0.8897  0.3846  0.7402
Th  0.2460  0.2460  0.5838
Th  0.7540  0.7540  0.4162
Sc  0.0000  0.0000  0.5000
Sc  0.0067  0.0067  0.8124
Sc  0.4803  0.4803  0.6354
Sc  0.5000  0.5000  0.0000
Sc  0.5197  0.5197  0.3646
Sc  0.9933  0.9933  0.1876

Peak list (10 most intense, 10° ≤ 2θ ≤ 90°, in order of rising 2θ)
2θ (°)	I_rel
16.0	39
22.7	78
29.2	43
29.6	38
30.5	45
32.4	100
33.4	80
33.6	50
36.3	60
40.9	35